The following is a calculated powder XRD pattern of K7CdHg2. It was derived from a crystal structure in Alexandria, relaxed with GGA-PBE, using copper Kα.
Kinematic intensities with the Lorentz-polarization factor, no thermal factor.

Top 12 peaks for 15 to 90 degrees two-theta, by angle:
2θ (°)  I (rel.)
16.5  50.7
17.9  86.9
19.0  95.9
19.1  48.6
21.7  38.4
24.9  35.8
25.4  89.9
27.0  49.9
28.0  36.4
31.8  48.3
32.7  51.2
33.3  100.0

Structural model:
```
K7CdHg2
1.0
9.935 -4.647 0.000
9.935 4.647 0.000
-5.690 0.000 10.716
K Cd Hg
14 2 4
direct
0.083 0.917 0.750
0.088 0.628 0.991
0.190 0.412 0.640
0.209 0.603 0.405
0.372 0.912 0.509
0.397 0.791 0.095
0.412 0.190 0.140
0.588 0.810 0.860
0.603 0.209 0.905
0.628 0.088 0.491
0.791 0.397 0.595
0.810 0.588 0.360
0.912 0.372 0.009
0.917 0.083 0.250
0.494 0.506 0.750
0.506 0.494 0.250
0.198 0.202 0.311
0.202 0.198 0.811
0.798 0.802 0.189
0.802 0.798 0.689
```